AsPRhAu2: calculated powder X-ray diffraction pattern (Cu Kα X-rays), based on a cell relaxed with PBE.
Lines closer than 0.1° are merged.

Main lines, sorted by position (10° ≤ 2θ ≤ 90°):
index	2theta	d [Å]	Rel. int.
0 0 2	17.0	5.209	24
1 0 1	32.5	2.755	51
0 0 4	34.4	2.605	29
0 1 2	34.9	2.567	100
1 0 2	35.8	2.505	46
0 1 3	40.1	2.249	31
0 0 5	43.4	2.084	25
1 1 0	44.1	2.053	43
1 1 1	45.0	2.014	29
1 0 4	47.2	1.925	28

Crystal structure
a b c (Å): 2.857 2.950 10.419
angles (deg): 90.00 90.00 90.00
Space group Pmm2 (No. 25)
Inequivalent atoms, fractional coordinates:
As 0.000 0.000 0.000
P 0.500 0.000 0.668
Rh 0.000 0.500 0.787
Au 0.000 0.500 0.232
Au 0.500 0.000 0.437

Ce9Pu2Tl3: calculated powder X-ray diffraction pattern (Cu Kα X-rays), based on a cell relaxed with PBE.
Lines closer than 0.1° are merged.

Main lines, sorted by position (10° ≤ 2θ ≤ 90°):
index	2theta	d [Å]	Rel. int.
1 1 0	14.2	6.259	21
3 0 0	24.6	3.614	17
0 0 6	32.5	2.753	15
2 2 3	32.9	2.721	100
2 2 6	43.8	2.067	30
6 0 0	50.5	1.807	31
2 2 9	58.3	1.583	19
6 0 6	61.4	1.511	14
4 4 3	61.6	1.505	16
8 2 3	83.6	1.156	13

Crystal structure
a b c (Å): 12.5181 12.5181 16.5206
angles (deg): 90.00 90.00 120.00
Space group R-3c (No. 167, hexagonal axes)
Inequivalent atoms, fractional coordinates:
Ce 0.0000 0.1572 0.2500
Ce 0.0023 0.1716 0.9202
Pu 0.0000 0.0000 0.1499
Tl 0.0001 0.3333 0.0833

Mg2Si6Pd21: calculated powder X-ray diffraction pattern (Cu Kα X-rays), based on a cell relaxed with PBE.
Lines closer than 0.1° are merged.

Main lines, sorted by position (10° ≤ 2θ ≤ 90°):
index	2theta	d [Å]	Rel. int.
2 2 0	20.7	4.296	9
4 2 2	36.2	2.480	13
3 3 3	38.5	2.338	100
4 4 0	42.1	2.148	19
5 3 1	44.1	2.054	29
6 0 0	44.8	2.025	23
6 6 0	65.1	1.432	18
5 5 5	66.7	1.403	15
8 4 4	76.9	1.240	16
9 3 3	78.3	1.221	9

Crystal structure
a b c (Å): 12.150 12.150 12.150
angles (deg): 90.00 90.00 90.00
Space group Fm-3m (No. 225)
Inequivalent atoms, fractional coordinates:
Mg 0.250 0.250 0.250
Si 0.000 0.000 0.230
Pd 0.000 0.000 0.500
Pd 0.000 0.171 0.329
Pd 0.119 0.119 0.119

Q: Which formula does entry 2 have?
A: Ce9Pu2Tl3